The following is a calculated powder diffraction line list of ErCo4Cu3O12. It was derived from the PBE+U geometry in Alexandria, using Cu Kα (λ = 1.5418 Å).

Crystal structure
```
data_ErCo4Cu3O12
_chemical_formula_sum 'Er1 Co4 Cu3 O12'
_cell_length_a 6.291
_cell_length_b 6.291
_cell_length_c 6.291
_cell_angle_alpha 109.47
_cell_angle_beta 109.47
_cell_angle_gamma 109.47
_space_group_name_H-M_alt 'P 1'
_space_group_IT_number 1
loop_
_space_group_symop_operation_xyz
'x,y,z'
loop_
_atom_site_label
_atom_site_fract_x
_atom_site_fract_y
_atom_site_fract_z
Er1 0.000 0.000 0.000
Co1 0.000 0.000 0.500
Co2 0.000 0.500 0.000
Co3 0.500 0.000 0.000
Co4 0.500 0.500 0.500
Cu1 0.000 0.500 0.500
Cu2 0.500 0.000 0.500
Cu3 0.500 0.500 0.000
O1 0.134 0.304 0.830
O2 0.170 0.475 0.304
O3 0.170 0.866 0.696
O4 0.304 0.170 0.475
O5 0.304 0.830 0.134
O6 0.475 0.304 0.170
O7 0.525 0.696 0.830
O8 0.696 0.170 0.866
O9 0.696 0.830 0.525
O10 0.830 0.134 0.304
O11 0.830 0.525 0.696
O12 0.866 0.696 0.170
```

The 10 most intense peaks (2θ from 10° to 90°), low angle first:
- 2θ 17.26, intensity 15.8
- 2θ 30.13, intensity 4.7
- 2θ 34.94, intensity 100.0
- 2θ 39.22, intensity 9.8
- 2θ 43.14, intensity 4.9
- 2θ 46.79, intensity 10.2
- 2θ 50.24, intensity 24.2
- 2θ 62.65, intensity 46.0
- 2θ 73.79, intensity 11.8
- 2θ 84.32, intensity 16.0